This entry pairs a crystal structure of K2GaCoO4 with its computed X-ray powder pattern. Radiation: Cu Ka. Structure: the GGA+U geometry in Alexandria.
Lines closer than 0.1° are merged.

```
16
Lattice="0.0000 5.9783 9.8200 2.5412 0.0000 9.8200 2.5412 5.9783 0.0000" Properties=species:S:1:pos:R:3 pbc="T T T"
K 1.9059 4.4837 1.0400
K 3.1766 7.4729 5.9500
K 1.9059 4.4837 13.6899
K 3.1766 7.4729 18.5999
Ga 0.6353 1.4946 2.4550
Ga 4.4472 10.4621 17.1850
Co 1.9059 4.4837 7.3650
Co 3.1766 7.4729 12.2750
O 1.8934 2.5688 3.3453
O 3.1891 5.5580 8.2553
O 1.9184 6.3987 3.3453
O 1.9184 2.5688 11.3847
O 3.1641 9.3878 8.2553
O 3.1641 5.5580 16.2947
O 1.8934 6.3987 11.3847
O 3.1891 9.3878 16.2947
```

Largest 10 diffraction maxima, low angle first, 10 to 90 degrees two-theta:
2θ/deg, intensity
17.37, 100
18.07, 81
29.89, 33
31.15, 83
31.63, 27
36.67, 24
38.49, 38
45.17, 32
55.11, 32
58.89, 21